[1]
The following is a theoretical PXRD pattern of MgPaBeO5. It was derived from a GGA-PBE-relaxed structure, using CuKα.
Peak positions follow from Bragg's law for the DFT cell and can differ from measured ones.

Structure:
Lattice parameters (Å, degrees): 5.3451 5.3451 7.9059 103.78 103.78 105.76
Element x y z (fractional)
Mg 0.1382 0.8618 0.7500
Mg 0.8618 0.1382 0.2500
Pa 0.5000 0.5000 0.0000
Pa 0.5000 0.5000 0.5000
Be 0.1854 0.8146 0.2500
Be 0.8146 0.1854 0.7500
O 0.0952 0.2140 0.9102
O 0.1544 0.5467 0.3239
O 0.2140 0.0952 0.4102
O 0.3772 0.6228 0.7500
O 0.4533 0.8456 0.1761
O 0.5467 0.1544 0.8239
O 0.6228 0.3772 0.2500
O 0.7860 0.9048 0.5898
O 0.8456 0.4533 0.6761
O 0.9048 0.7860 0.0898

Most intense lines, 2θ = 10–90°, by angle:
2θ (°)	I_rel
18.23	100
20.84	40
25.41	69
30.15	23
32.39	40
35.02	23



[2]
The following is a theoretical PXRD pattern of PuMgBe2O6. It was derived from a GGA-PBE-relaxed structure, using CuKα.
Peak positions follow from Bragg's law for the DFT cell and can differ from measured ones.

Structure:
Lattice parameters (Å, degrees): 6.8148 6.8148 5.3687 108.43 108.43 82.12
Element x y z (fractional)
Pu 0.2225 0.7775 0.7500
Pu 0.7775 0.2225 0.2500
Mg 0.4122 0.5878 0.2500
Mg 0.5878 0.4122 0.7500
Be 0.1448 0.2775 0.6682
Be 0.2775 0.1448 0.1682
Be 0.7225 0.8552 0.8318
Be 0.8552 0.7225 0.3318
O 0.1065 0.2077 0.3317
O 0.1217 0.6657 0.3551
O 0.2077 0.1065 0.8317
O 0.2906 0.4736 0.8254
O 0.3343 0.8783 0.1449
O 0.4736 0.2906 0.3254
O 0.5264 0.7094 0.6746
O 0.6657 0.1217 0.8551
O 0.7094 0.5264 0.1746
O 0.7923 0.8935 0.1683
O 0.8783 0.3343 0.6449
O 0.8935 0.7923 0.6683

Most intense lines, 2θ = 10–90°, by angle:
2θ (°)	I_rel
19.02	61
19.37	100
19.83	33
25.90	38
27.62	46
28.60	38



[3]
The following is a theoretical PXRD pattern of MgBeSnO4. It was derived from a GGA-PBE-relaxed structure, using CuKα.
Peak positions follow from Bragg's law for the DFT cell and can differ from measured ones.

Structure:
Lattice parameters (Å, degrees): 5.8846 5.8846 5.8846 120.89 118.34 90.68
Element x y z (fractional)
Mg 0.5000 0.0000 0.0000
Mg 0.5000 0.5000 0.5000
Be 0.1080 0.3580 0.7500
Be 0.8920 0.6420 0.2500
Sn 0.0000 0.0000 0.0000
Sn 0.5000 0.0000 0.5000
O 0.2455 0.7499 0.4955
O 0.2456 0.2501 0.9955
O 0.2478 0.2523 0.5045
O 0.2478 0.7433 0.9955
O 0.7522 0.2567 0.0045
O 0.7522 0.7477 0.4955
O 0.7544 0.7499 0.0045
O 0.7545 0.2501 0.5045

Most intense lines, 2θ = 10–90°, by angle:
2θ (°)	I_rel
18.67	100
21.48	23
35.25	50
36.05	26
43.26	37
63.24	24